[1]
For Co2AsPb, the PBE geometry in Alexandria gives the calculated XRD peak list in this record (Cu Kα (weighted mean of Kα1 and Kα2)).
Intensities are scaled so that the largest is 100.

Main lines, most intense first (10° ≤ 2θ ≤ 80°):
hkl	2θ (°)	I (rel.)
1 0 2	37.73	100
1 0 1	31.35	97
1 1 0	41.41	78
1 0 3	46.69	52
0 0 2	23.66	46
0 0 1	11.77	42

Structure:
```
Co2AsPb
1.0
3.083 0.000 0.000
0.000 3.083 0.000
0.000 0.000 7.522
Co As Pb
2 1 1
direct
0.000 0.000 0.000
0.500 0.500 0.161
0.500 0.500 0.835
0.000 0.000 0.419
```

[2]
For Li5Mg3Cd3, the PBE geometry in Alexandria gives the calculated XRD peak list in this record (Cu Kα (weighted mean of Kα1 and Kα2)).
Intensities are scaled so that the largest is 100.

Main lines, most intense first (10° ≤ 2θ ≤ 80°):
hkl	2θ (°)	I (rel.)
1 1 0	18.12	100
2 0 0	20.96	73
3 1 0	38.28	69
2 0 1	36.39	41
1 1 1	34.76	37
2 1 1	40.94	35

Structure:
```
Li5Mg3Cd3
1.0
9.789 0.000 0.000
-4.894 8.477 0.000
0.000 0.000 3.038
Li Mg Cd
5 3 3
direct
0.000 0.663 0.000
0.333 0.667 0.000
0.337 0.337 0.000
0.663 0.000 0.000
0.667 0.333 0.000
0.000 0.175 0.000
0.175 0.000 0.000
0.825 0.825 0.000
0.000 0.427 0.500
0.427 0.000 0.500
0.573 0.573 0.500
```

[3]
For NdInGa2Ni5, the PBE geometry in Alexandria gives the calculated XRD peak list in this record (Cu Kα (weighted mean of Kα1 and Kα2)).
Intensities are scaled so that the largest is 100.

Main lines, most intense first (10° ≤ 2θ ≤ 80°):
hkl	2θ (°)	I (rel.)
1 1 2	37.70	100
2 0 0	40.88	82
1 0 2	31.55	46
3 1 2	72.34	27
2 2 0	59.19	26
2 1 2	52.54	22

Structure:
```
NdInGa2Ni5
1.0
4.415 0.000 0.000
0.000 4.415 0.000
0.000 0.000 7.400
Nd In Ga Ni
1 1 2 5
direct
0.000 0.000 0.000
0.000 0.000 0.500
0.500 0.500 0.332
0.500 0.500 0.668
0.000 0.500 0.240
0.000 0.500 0.760
0.500 0.000 0.240
0.500 0.000 0.760
0.500 0.500 0.000
```

[4]
For Sm6Ge2H, the PBE geometry in Alexandria gives the calculated XRD peak list in this record (Cu Kα (weighted mean of Kα1 and Kα2)).
Intensities are scaled so that the largest is 100.

Main lines, most intense first (10° ≤ 2θ ≤ 80°):
hkl	2θ (°)	I (rel.)
0 2 2	29.80	100
1 0 2	31.58	75
1 0 -4	31.73	74
2 1 -2	30.15	69
1 3 -1	37.48	56
1 2 0	28.49	54

Structure:
```
Sm6Ge2H
1.0
6.414 0.000 0.000
0.000 7.763 0.000
-6.346 0.000 9.441
Sm Ge H
12 4 2
direct
0.075 0.195 0.447
0.075 0.305 0.947
0.318 0.684 0.446
0.318 0.816 0.946
0.386 0.030 0.252
0.386 0.470 0.752
0.614 0.530 0.248
0.614 0.970 0.748
0.682 0.184 0.054
0.682 0.316 0.554
0.925 0.695 0.053
0.925 0.805 0.553
0.172 0.119 0.747
0.172 0.381 0.247
0.828 0.619 0.753
0.828 0.881 0.253
0.000 0.000 0.000
0.000 0.500 0.500
```

[5]
For Tb3Dy2Al2, the PBE geometry in Alexandria gives the calculated XRD peak list in this record (Cu Kα (weighted mean of Kα1 and Kα2)).
Intensities are scaled so that the largest is 100.

Main lines, most intense first (10° ≤ 2θ ≤ 80°):
hkl	2θ (°)	I (rel.)
2 -1 0	33.98	100
1 0 2	33.11	90
1 0 -2	27.22	43
2 1 1	60.27	32
0 2 1	48.18	32
1 1 3	58.72	21

Structure:
```
Tb3Dy2Al2
1.0
5.274 0.000 0.000
-2.636 4.571 0.000
-0.003 -3.040 7.833
Tb Dy Al
3 2 2
direct
0.000 0.000 0.000
0.153 0.307 0.460
0.847 0.693 0.540
0.418 0.836 0.253
0.582 0.164 0.747
0.282 0.565 0.847
0.718 0.435 0.153
```